Structure and theoretical powder diffractogram of Ba4Ta2TiZnO12 (DFT lattice parameters and positions (GGA-PBE); Cu Kα X-rays).
Lines closer than 0.1° are merged.

Structure:
```
data_Ba4Ta2TiZnO12
_cell_length_a 5.808
_cell_length_b 5.808
_cell_length_c 8.241
_cell_angle_alpha 90.00
_cell_angle_beta 90.00
_cell_angle_gamma 90.00
_space_group_name_H-M_alt 'P 4/m m m'
_space_group_IT_number 123
_space_group_name_Hall '-P 4 2'
loop_
_atom_site_label
_atom_site_type_symbol
_atom_site_fract_x
_atom_site_fract_y
_atom_site_fract_z
_atom_site_occupancy
Ba1 Ba 0.000 0.500 0.242 1
Ta1 Ta 0.000 0.000 0.000 1
Ta2 Ta 0.500 0.500 0.500 1
Ti1 Ti 0.000 0.000 0.500 1
Zn1 Zn 0.500 0.500 0.000 1
O1 O 0.000 0.000 0.256 1
O2 O 0.240 0.240 0.000 1
O3 O 0.248 0.248 0.500 1
O4 O 0.500 0.500 0.263 1
```

Largest 6 diffraction maxima, in order of rising 2θ, 10 to 90 degrees two-theta:
18.7°, I = 14.7, hkl 1 0 1
30.8°, I = 100.0, hkl 2 0 0
44.1°, I = 19.9, hkl 2 2 0
54.7°, I = 39.6, hkl 3 1 2
64.0°, I = 12.1, hkl 2 2 4
89.2°, I = 14.2, hkl 5 1 2